For Sr2PmAg3, DFT lattice parameters and positions (PBE) gives the simulated X-ray diffraction stick pattern in this record (Cu Kα, 1.54184 Å).
Intensities are scaled so that the largest is 100.

Top 6 peaks for 2θ = 10–80°, in order of rising 2θ:
2θ (°)  d/Å  Rel. int.
32.76  2.733  100
32.93  2.720  21
47.13  1.928  15
58.44  1.579  20
58.70  1.573  14
68.67  1.367  9

Crystal structure
```
Sr2PmAg3
1.0
2.720 -8.203 0.000
2.720 8.203 0.000
0.000 0.000 7.748
Sr Pm Ag
4 2 6
Direct
0.000 0.000 0.000
0.000 0.000 0.500
0.333 0.667 0.000
0.667 0.333 0.000
0.334 0.666 0.500
0.666 0.334 0.500
0.174 0.826 0.281
0.174 0.826 0.719
0.500 0.500 0.265
0.500 0.500 0.735
0.826 0.174 0.281
0.826 0.174 0.719
```



For Tb6PmAg, DFT lattice parameters and positions (PBE) gives the simulated X-ray diffraction stick pattern in this record (Cu Kα, 1.54184 Å).
Intensities are scaled so that the largest is 100.

Top 6 peaks for 2θ = 10–80°, in order of rising 2θ:
2θ (°)  d/Å  Rel. int.
27.34  3.262  25
28.59  3.122  22
30.56  2.925  100
33.48  2.676  28
34.53  2.598  86
51.64  1.770  27

Crystal structure
```
Tb6PmAg
1.0
6.312 0.000 0.000
-0.629 6.284 0.000
-0.625 -0.703 6.246
Tb Pm Ag
6 1 1
Direct
0.046 0.071 0.263
0.237 0.454 0.929
0.429 0.737 0.454
0.571 0.263 0.546
0.763 0.546 0.071
0.954 0.929 0.737
0.500 0.000 0.000
0.000 0.500 0.500
```



For TbPm2AgTe5, DFT lattice parameters and positions (PBE) gives the simulated X-ray diffraction stick pattern in this record (Cu Kα, 1.54184 Å).
Intensities are scaled so that the largest is 100.

Top 6 peaks for 2θ = 10–80°, in order of rising 2θ:
2θ (°)  d/Å  Rel. int.
24.79  3.592  23
29.04  3.075  100
29.15  3.063  46
34.12  2.627  77
37.41  2.404  20
41.23  2.190  34

Crystal structure
```
TbPm2AgTe5
1.0
2.190 -9.443 0.000
2.190 9.443 0.000
0.000 0.000 13.310
Tb Pm Ag Te
2 4 2 10
Direct
0.192 0.808 0.500
0.808 0.192 0.000
0.111 0.889 0.178
0.126 0.874 0.796
0.874 0.126 0.296
0.889 0.111 0.678
0.432 0.568 0.952
0.568 0.432 0.452
0.042 0.958 0.569
0.286 0.714 0.161
0.307 0.693 0.831
0.357 0.643 0.490
0.498 0.502 0.271
0.502 0.498 0.771
0.643 0.357 0.990
0.693 0.307 0.331
0.714 0.286 0.661
0.958 0.042 0.069
```



For TbPm2Tl2Ag2, DFT lattice parameters and positions (PBE) gives the simulated X-ray diffraction stick pattern in this record (Cu Kα, 1.54184 Å).
Intensities are scaled so that the largest is 100.

Top 6 peaks for 2θ = 10–80°, in order of rising 2θ:
2θ (°)  d/Å  Rel. int.
31.06  2.879  39
33.61  2.666  96
36.61  2.454  100
50.54  1.806  30
63.50  1.465  26
64.01  1.455  30

Crystal structure
```
TbPm2Tl2Ag2
1.0
2.454 1.417 9.130
-2.454 1.417 9.130
0.000 -2.834 9.130
Tb Pm Tl Ag
1 2 2 2
Direct
0.000 0.000 0.000
0.124 0.124 0.124
0.876 0.876 0.876
0.262 0.262 0.262
0.738 0.738 0.738
0.391 0.391 0.391
0.609 0.609 0.609
```



For TbPmYAg, DFT lattice parameters and positions (PBE) gives the simulated X-ray diffraction stick pattern in this record (Cu Kα, 1.54184 Å).
Intensities are scaled so that the largest is 100.

Top 6 peaks for 2θ = 10–80°, in order of rising 2θ:
2θ (°)  d/Å  Rel. int.
26.52  3.361  9
32.02  2.795  100
34.84  2.575  45
50.09  1.821  16
55.21  1.664  14
60.70  1.526  31

Crystal structure
```
TbPmYAg
1.0
3.642 0.000 0.000
0.000 3.642 0.000
0.000 0.000 8.718
Tb Pm Y Ag
1 1 1 1
Direct
0.000 0.000 0.000
0.500 0.500 0.290
0.000 0.000 0.582
0.500 0.500 0.791
```



For Pm2Ag4Te5, DFT lattice parameters and positions (PBE) gives the simulated X-ray diffraction stick pattern in this record (Cu Kα, 1.54184 Å).
Intensities are scaled so that the largest is 100.

Top 6 peaks for 2θ = 10–80°, in order of rising 2θ:
2θ (°)  d/Å  Rel. int.
22.78  3.904  29
25.95  3.433  31
28.55  3.127  95
39.90  2.260  100
41.71  2.166  68
73.68  1.286  25

Crystal structure
```
Pm2Ag4Te5
1.0
2.260 1.305 19.067
-2.260 1.305 19.067
0.000 -2.609 19.067
Pm Ag Te
2 4 5
Direct
0.135 0.135 0.135
0.865 0.865 0.865
0.315 0.315 0.315
0.415 0.415 0.415
0.585 0.585 0.585
0.685 0.685 0.685
0.231 0.231 0.231
0.367 0.367 0.367
0.500 0.500 0.500
0.633 0.633 0.633
0.769 0.769 0.769
```



For PmAg12Te7, DFT lattice parameters and positions (PBE) gives the simulated X-ray diffraction stick pattern in this record (Cu Kα, 1.54184 Å).
Intensities are scaled so that the largest is 100.

Top 6 peaks for 2θ = 10–80°, in order of rising 2θ:
2θ (°)  d/Å  Rel. int.
29.05  3.073  25
32.56  2.750  61
33.69  2.660  100
33.84  2.649  34
38.91  2.315  55
47.56  1.912  36

Crystal structure
```
PmAg12Te7
1.0
7.038 4.063 2.750
-7.038 4.063 2.750
0.000 -8.127 2.750
Pm Ag Te
1 12 7
Direct
0.000 0.000 0.000
0.029 0.810 0.589
0.190 0.411 0.971
0.257 0.618 0.628
0.372 0.743 0.382
0.382 0.372 0.743
0.411 0.971 0.190
0.589 0.029 0.810
0.618 0.628 0.257
0.628 0.257 0.618
0.743 0.382 0.372
0.810 0.589 0.029
0.971 0.190 0.411
0.033 0.618 0.824
0.176 0.967 0.382
0.382 0.176 0.967
0.500 0.500 0.500
0.618 0.824 0.033
0.824 0.033 0.618
0.967 0.382 0.176
```



For Pm3ThAg4, DFT lattice parameters and positions (PBE) gives the simulated X-ray diffraction stick pattern in this record (Cu Kα, 1.54184 Å).
Intensities are scaled so that the largest is 100.

Top 6 peaks for 2θ = 10–80°, in order of rising 2θ:
2θ (°)  d/Å  Rel. int.
33.50  2.675  53
34.21  2.621  100
48.11  1.891  19
60.35  1.534  38
61.71  1.503  18
72.08  1.310  11

Crystal structure
```
Pm3ThAg4
1.0
3.634 0.000 0.000
0.000 5.347 0.000
0.000 0.000 10.705
Pm Th Ag
3 1 4
Direct
0.000 0.000 0.000
0.000 0.500 0.249
0.000 0.500 0.751
0.000 0.000 0.500
0.500 0.000 0.248
0.500 0.000 0.752
0.500 0.500 0.000
0.500 0.500 0.500
```



For Pm4Tl3Ag, DFT lattice parameters and positions (PBE) gives the simulated X-ray diffraction stick pattern in this record (Cu Kα, 1.54184 Å).
Intensities are scaled so that the largest is 100.

Top 6 peaks for 2θ = 10–80°, in order of rising 2θ:
2θ (°)  d/Å  Rel. int.
32.45  2.759  100
34.24  2.619  45
49.20  1.852  16
56.73  1.623  19
60.18  1.538  34
67.96  1.379  11

Crystal structure
```
Pm4Tl3Ag
1.0
3.704 0.000 0.000
0.000 3.704 0.000
0.000 0.000 16.538
Pm Tl Ag
4 3 1
Direct
0.000 0.000 0.115
0.000 0.000 0.371
0.000 0.000 0.629
0.000 0.000 0.885
0.500 0.500 0.241
0.500 0.500 0.500
0.500 0.500 0.759
0.500 0.500 0.000
```



For Pm2Tl2Ag15, DFT lattice parameters and positions (PBE) gives the simulated X-ray diffraction stick pattern in this record (Cu Kα, 1.54184 Å).
Intensities are scaled so that the largest is 100.

Top 6 peaks for 2θ = 10–80°, in order of rising 2θ:
2θ (°)  d/Å  Rel. int.
31.53  2.837  65
32.76  2.734  41
36.57  2.457  82
36.89  2.437  100
41.36  2.183  89
65.84  1.419  38

Crystal structure
```
Pm2Tl2Ag15
1.0
4.914 2.837 4.756
-4.914 2.837 4.756
0.000 -5.674 4.756
Pm Tl Ag
2 2 15
Direct
0.147 0.147 0.147
0.853 0.853 0.853
0.393 0.393 0.393
0.607 0.607 0.607
0.000 0.500 0.500
0.149 0.149 0.666
0.149 0.666 0.149
0.184 0.500 0.816
0.184 0.816 0.500
0.334 0.851 0.851
0.500 0.000 0.500
0.500 0.184 0.816
0.500 0.500 0.000
0.500 0.816 0.184
0.666 0.149 0.149
0.816 0.184 0.500
0.816 0.500 0.184
0.851 0.334 0.851
0.851 0.851 0.334
```



For Pm6TlAg5, DFT lattice parameters and positions (PBE) gives the simulated X-ray diffraction stick pattern in this record (Cu Kα, 1.54184 Å).
Intensities are scaled so that the largest is 100.

Top 6 peaks for 2θ = 10–80°, in order of rising 2θ:
2θ (°)  d/Å  Rel. int.
33.65  2.663  100
33.89  2.645  49
47.98  1.896  9
60.03  1.541  18
60.48  1.531  36
70.75  1.332  11

Crystal structure
```
Pm6TlAg5
1.0
5.292 0.000 0.000
0.000 7.585 0.000
-2.630 0.000 7.934
Pm Tl Ag
6 1 5
Direct
0.000 0.241 0.000
0.000 0.759 0.000
0.331 0.247 0.661
0.331 0.753 0.661
0.669 0.247 0.339
0.669 0.753 0.339
0.500 0.500 0.000
0.160 0.500 0.325
0.164 0.000 0.332
0.500 0.000 0.000
0.836 0.000 0.668
0.840 0.500 0.675
```



For Pm6Tl2Ag, DFT lattice parameters and positions (PBE) gives the simulated X-ray diffraction stick pattern in this record (Cu Kα, 1.54184 Å).
Intensities are scaled so that the largest is 100.

Top 6 peaks for 2θ = 10–80°, in order of rising 2θ:
2θ (°)  d/Å  Rel. int.
29.02  3.077  100
31.56  2.835  86
32.47  2.757  44
36.97  2.431  48
38.27  2.352  34
58.87  1.569  35

Crystal structure
```
Pm6Tl2Ag
1.0
4.507 0.000 0.000
0.000 7.300 4.208
0.000 -7.300 4.208
Pm Tl Ag
6 2 1
Direct
0.000 0.000 0.000
0.000 0.480 0.741
0.000 0.741 0.480
0.500 0.145 0.740
0.500 0.336 0.336
0.500 0.740 0.145
0.000 0.074 0.407
0.000 0.407 0.074
0.500 0.740 0.740
```



For Pm4Tl3Ag2, DFT lattice parameters and positions (PBE) gives the simulated X-ray diffraction stick pattern in this record (Cu Kα, 1.54184 Å).
Intensities are scaled so that the largest is 100.

Top 6 peaks for 2θ = 10–80°, in order of rising 2θ:
2θ (°)  d/Å  Rel. int.
32.12  2.787  100
34.27  2.616  89
47.68  1.907  33
55.84  1.646  17
60.02  1.541  34
61.38  1.511  16

Crystal structure
```
Pm4Tl3Ag2
1.0
4.531 -2.616 0.000
4.531 2.616 0.000
-0.011 0.000 10.602
Pm Tl Ag
4 3 2
Direct
0.000 0.000 0.172
0.000 0.000 0.828
0.333 0.333 0.386
0.667 0.667 0.614
0.000 0.000 0.500
0.333 0.333 0.051
0.667 0.667 0.949
0.334 0.334 0.686
0.666 0.666 0.314
```